Diffraction record for LiPrPaS4. The X-ray diffraction stick pattern is theoretical, not measured: it uses the PBE geometry in Alexandria and Cu Kα.
Kinematic intensities with the Lorentz-polarization factor, no thermal factor.

Most intense lines, 2θ = 10–90°, in order of rising 2θ:
Position (°2θ), intensity
13.2, 100
13.4, 35
25.6, 43
25.8, 39
30.9, 29
31.1, 58
40.6, 27
44.5, 43

Atomic structure:
Cell: 8.1528 8.1528 8.1528 Å, 120.81 119.55 89.69°
Positions (direct):
Li 0.3651 0.1151 0.2500
Li 0.6349 0.8849 0.7500
Pr 0.0000 0.5000 0.5000
Pr 0.5000 0.5000 0.0000
Pa 0.0000 0.0000 0.5000
Pa 0.0000 0.5000 0.0000
S 0.2256 0.7480 0.4776
S 0.2296 0.2520 0.9776
S 0.2338 0.2376 0.5038
S 0.2338 0.7300 0.9962
S 0.7662 0.2700 0.0038
S 0.7662 0.7624 0.4962
S 0.7704 0.7480 0.0224
S 0.7744 0.2520 0.5224